# 1
For In2NiN2, a cell relaxed with GGA-PBE gives the simulated powder X-ray diffraction pattern in this record (CuKα).

Peak list (6 most intense, 15° ≤ 2θ ≤ 90°, in order of rising 2θ)
2θ (°), Rel. int.
34.9, 76
35.2, 80
37.8, 100
49.1, 24
61.0, 28
66.8, 23

Crystal structure
a b c (Å): 3.337 11.838 3.390
angles (deg): 90.00 90.00 90.00
Fractional positions:
In 0.250 0.103 0.249
In 0.250 0.397 0.249
In 0.750 0.603 0.751
In 0.750 0.897 0.751
Ni 0.250 0.750 0.335
Ni 0.750 0.250 0.665
N 0.250 0.592 0.228
N 0.250 0.908 0.228
N 0.750 0.092 0.772
N 0.750 0.408 0.772



# 2
For P2H4PbO8, a cell relaxed with GGA-PBE gives the simulated powder X-ray diffraction pattern in this record (CuKα).

Peak list (6 most intense, 15° ≤ 2θ ≤ 90°, in order of rising 2θ)
2θ (°), Rel. int.
22.7, 53
23.6, 49
23.8, 59
27.3, 63
27.5, 80
29.3, 100

Crystal structure
a b c (Å): 5.973 8.319 8.408
angles (deg): 105.40 110.29 95.54
Fractional positions:
P 0.020 0.251 0.164
P 0.314 0.279 0.691
P 0.686 0.721 0.309
P 0.980 0.749 0.836
H 0.194 0.331 0.914
H 0.210 0.007 0.947
H 0.217 0.751 0.112
H 0.446 0.045 0.720
H 0.554 0.955 0.280
H 0.783 0.249 0.888
H 0.790 0.993 0.053
H 0.806 0.669 0.086
Pb 0.301 0.661 0.553
Pb 0.699 0.339 0.447
O 0.003 0.407 0.301
O 0.045 0.715 0.025
O 0.054 0.200 0.570
O 0.206 0.894 0.868
O 0.255 0.190 0.201
O 0.349 0.335 0.895
O 0.449 0.418 0.649
O 0.499 0.855 0.307
O 0.501 0.145 0.693
O 0.551 0.582 0.351
O 0.651 0.665 0.105
O 0.745 0.810 0.799
O 0.794 0.106 0.132
O 0.946 0.800 0.430
O 0.955 0.285 0.975
O 0.997 0.593 0.699



# 3
For GeP2O9, a cell relaxed with GGA-PBE gives the simulated powder X-ray diffraction pattern in this record (CuKα).

Peak list (6 most intense, 15° ≤ 2θ ≤ 90°, in order of rising 2θ)
2θ (°), Rel. int.
21.4, 57
26.0, 46
26.2, 100
34.6, 13
37.0, 19
60.2, 15

Crystal structure
a b c (Å): 8.418 4.877 16.445
angles (deg): 90.00 110.70 90.00
Fractional positions:
Ge 0.246 0.244 0.000
Ge 0.246 0.256 0.500
Ge 0.754 0.744 0.500
Ge 0.754 0.756 0.000
P 0.012 0.747 0.898
P 0.012 0.753 0.398
P 0.492 0.748 0.601
P 0.492 0.752 0.101
P 0.508 0.248 0.899
P 0.508 0.252 0.399
P 0.988 0.247 0.602
P 0.988 0.253 0.102
O 0.058 0.044 0.930
O 0.058 0.243 0.705
O 0.058 0.257 0.205
O 0.058 0.456 0.430
O 0.135 0.138 0.575
O 0.135 0.362 0.075
O 0.142 0.650 0.748
O 0.142 0.850 0.248
O 0.168 0.556 0.928
O 0.168 0.944 0.428
O 0.340 0.550 0.578
O 0.340 0.950 0.078
O 0.367 0.130 0.928
O 0.367 0.370 0.428
O 0.441 0.181 0.300
O 0.441 0.319 0.800
O 0.443 0.043 0.566
O 0.443 0.457 0.066
O 0.557 0.543 0.934
O 0.557 0.957 0.434
O 0.559 0.681 0.200
O 0.559 0.819 0.700
O 0.633 0.630 0.572
O 0.633 0.870 0.072
O 0.660 0.050 0.922
O 0.660 0.450 0.422
O 0.832 0.056 0.572
O 0.832 0.444 0.072
O 0.858 0.150 0.752
O 0.858 0.350 0.252
O 0.865 0.638 0.925
O 0.865 0.862 0.425
O 0.942 0.544 0.570
O 0.942 0.743 0.795
O 0.942 0.757 0.295
O 0.942 0.956 0.070



# 4
For Pr3Tm3Mn23, a cell relaxed with GGA-PBE gives the simulated powder X-ray diffraction pattern in this record (CuKα).

Peak list (6 most intense, 15° ≤ 2θ ≤ 90°, in order of rising 2θ)
2θ (°), Rel. int.
25.2, 33
29.2, 25
36.0, 31
38.2, 91
41.8, 100
64.7, 23

Crystal structure
a b c (Å): 8.651 8.651 8.651
angles (deg): 59.95 59.95 59.95
Fractional positions:
Pr 0.057 0.472 0.472
Pr 0.472 0.057 0.472
Pr 0.472 0.472 0.057
Tm 0.052 0.052 0.475
Tm 0.052 0.475 0.052
Tm 0.475 0.052 0.052
Mn 0.085 0.085 0.804
Mn 0.085 0.804 0.085
Mn 0.086 0.086 0.086
Mn 0.118 0.648 0.648
Mn 0.261 0.765 0.765
Mn 0.266 0.266 0.774
Mn 0.266 0.774 0.266
Mn 0.408 0.885 0.885
Mn 0.443 0.443 0.729
Mn 0.443 0.729 0.443
Mn 0.446 0.446 0.446
Mn 0.647 0.647 0.647
Mn 0.648 0.118 0.648
Mn 0.648 0.648 0.118
Mn 0.729 0.443 0.443
Mn 0.765 0.261 0.765
Mn 0.765 0.765 0.261
Mn 0.768 0.768 0.768
Mn 0.774 0.266 0.266
Mn 0.804 0.085 0.085
Mn 0.882 0.882 0.882
Mn 0.885 0.408 0.885
Mn 0.885 0.885 0.408



# 5
For PrMgIn, a cell relaxed with GGA-PBE gives the simulated powder X-ray diffraction pattern in this record (CuKα).

Peak list (6 most intense, 15° ≤ 2θ ≤ 90°, in order of rising 2θ)
2θ (°), Rel. int.
22.7, 26
29.6, 66
32.4, 100
37.9, 25
40.0, 22
62.8, 24

Crystal structure
a b c (Å): 7.838 7.838 4.744
angles (deg): 90.00 90.00 120.00
Fractional positions:
Pr 0.000 0.579 0.000
Pr 0.421 0.421 0.000
Pr 0.579 0.000 0.000
Mg 0.000 0.244 0.500
Mg 0.244 0.000 0.500
Mg 0.756 0.756 0.500
In 0.000 0.000 0.000
In 0.333 0.667 0.500
In 0.667 0.333 0.500